Calculated X-ray powder pattern
Compound: Ce2MgS4
Radiation: Cu Kα
Structure: DFT lattice parameters and positions (PBE)

Crystal structure
Unit cell a=13.1343 b=3.9741 c=13.9247 alpha=90.00 beta=90.00 gamma=90.00
Space group Pnma (No. 62)
Unique sites:
Ce: 0.1226 0.2500 0.0717 x4
Ce: 0.1278 0.2500 0.7076 x4
Mg: 0.1064 0.7500 0.4655 x4
S: 0.0023 0.2500 0.3859 x4
S: 0.0248 0.2500 0.8863 x4
S: 0.2273 0.2500 0.5188 x4
S: 0.2328 0.2500 0.2415 x4

Most intense lines, 10 to 90 degrees two-theta, in order of rising 2θ:
two_theta  Rel. int.  h k l
14.40  82  1 0 2
23.47  87  2 0 3
26.21  100  2 1 0
31.06  28  3 1 1
33.05  54  3 1 2
36.11  32  3 1 3
40.60  50  4 1 3
45.81  60  6 0 3